# 1
Starting from a DFT-relaxed cell (PBE, Alexandria), the powder X-ray diffraction pattern of Dy3Tm2Rh2 was simulated for Cu Kα (λ = 1.5418 Å).
Neutral-atom scattering factors, no anomalous dispersion.

Most intense lines, 5° ≤ 2θ ≤ 70°, by intensity:
| (hkl) | Position (°2θ) | d/Å | I (rel.) |
| --- | --- | --- | --- |
| 2 0 2 | 33.5 | 2.675 | 100 |
| 3 1 -1 | 32.7 | 2.742 | 95 |
| 1 1 -2 | 31.2 | 2.871 | 79 |
| 3 1 -2 | 34.7 | 2.584 | 76 |
| 3 1 0 | 34.5 | 2.600 | 58 |
| 2 0 -3 | 30.5 | 2.933 | 54 |
| 1 1 2 | 36.2 | 2.480 | 50 |
| 0 2 0 | 48.0 | 1.895 | 46 |
| 1 1 -3 | 39.3 | 2.290 | 43 |
| 3 1 -5 | 57.7 | 1.598 | 41 |

a = 11.9186 Å, b = 3.7907 Å, c = 8.8153 Å
α = 90.00°, β = 115.97°, γ = 90.00°
Space group C2/m (No. 12)
Asymmetric unit:
Dy (0.0000, 0.0000, 0.0000) (multiplicity 2)
Dy (0.1150, 0.0000, 0.4299) (multiplicity 4)
Tm (0.1673, 0.5000, 0.8094) (multiplicity 4)
Rh (0.1799, 0.5000, 0.2386) (multiplicity 4)


# 2
Starting from a DFT-relaxed cell (PBE, Alexandria), the powder X-ray diffraction pattern of DyURh was simulated for Cu Kα (λ = 1.5418 Å).
Neutral-atom scattering factors, no anomalous dispersion.

Most intense lines, 5° ≤ 2θ ≤ 70°, by intensity:
| (hkl) | Position (°2θ) | d/Å | I (rel.) |
| --- | --- | --- | --- |
| 0 2 6 | 35.2 | 2.550 | 100 |
| 2 2 4 | 39.6 | 2.276 | 76 |
| 2 0 2 | 29.6 | 3.018 | 54 |
| 2 2 0 | 34.3 | 2.618 | 41 |
| 0 4 0 | 39.4 | 2.285 | 35 |
| 4 0 0 | 57.7 | 1.597 | 33 |
| 4 2 6 | 69.4 | 1.353 | 29 |
| 2 0 6 | 40.7 | 2.214 | 22 |
| 2 4 6 | 58.0 | 1.590 | 20 |
| 2 4 2 | 50.1 | 1.822 | 19 |

a = 6.3881 Å, b = 9.1387 Å, c = 18.4368 Å
α = 90.00°, β = 90.00°, γ = 90.00°
Space group Fddd (No. 70, origin choice 2)
Asymmetric unit:
Dy (0.1250, 0.1250, 0.0386) (multiplicity 16)
U (0.1250, 0.1250, 0.5330) (multiplicity 16)
Rh (0.1250, 0.3432, 0.6250) (multiplicity 16)


# 3
Starting from a DFT-relaxed cell (PBE, Alexandria), the powder X-ray diffraction pattern of DyVRh2 was simulated for Cu Kα (λ = 1.5418 Å).
Neutral-atom scattering factors, no anomalous dispersion.

Most intense lines, 5° ≤ 2θ ≤ 70°, by intensity:
| (hkl) | Position (°2θ) | d/Å | I (rel.) |
| --- | --- | --- | --- |
| 1 0 4 | 35.0 | 2.564 | 100 |
| 1 1 0 | 43.0 | 2.102 | 84 |
| 0 1 5 | 39.8 | 2.263 | 53 |
| 1 0 1 | 25.2 | 3.530 | 47 |
| 0 2 4 | 56.6 | 1.625 | 24 |
| 2 0 5 | 60.1 | 1.540 | 16 |
| 1 1 6 | 58.3 | 1.583 | 10 |
| 0 2 1 | 50.5 | 1.806 | 7 |
| 0 0 9 | 57.4 | 1.605 | 6 |
| 2 1 1 | 68.5 | 1.370 | 6 |

a = 4.2037 Å, b = 4.2037 Å, c = 14.4415 Å
α = 90.00°, β = 90.00°, γ = 120.00°
Space group R-3m (No. 166, hexagonal axes)
Asymmetric unit:
Dy (0.0000, 0.0000, 0.0000) (multiplicity 3)
V (0.0000, 0.0000, 0.5000) (multiplicity 3)
Rh (0.0000, 0.0000, 0.2148) (multiplicity 6)


# 4
Starting from a DFT-relaxed cell (PBE, Alexandria), the powder X-ray diffraction pattern of Dy3YRh2 was simulated for Cu Kα (λ = 1.5418 Å).
Neutral-atom scattering factors, no anomalous dispersion.

Most intense lines, 5° ≤ 2θ ≤ 70°, by intensity:
| (hkl) | Position (°2θ) | d/Å | I (rel.) |
| --- | --- | --- | --- |
| 2 4 0 | 37.7 | 2.384 | 100 |
| 1 3 2 | 34.9 | 2.574 | 78 |
| 2 0 2 | 36.9 | 2.435 | 69 |
| 0 4 2 | 36.7 | 2.449 | 66 |
| 1 2 1 | 22.5 | 3.955 | 62 |
| 2 4 4 | 65.7 | 1.421 | 39 |
| 2 0 0 | 26.6 | 3.354 | 36 |
| 0 4 0 | 26.3 | 3.390 | 29 |
| 2 2 2 | 39.3 | 2.292 | 26 |
| 1 1 2 | 29.3 | 3.051 | 26 |

a = 6.7083 Å, b = 13.5606 Å, c = 7.0811 Å
α = 90.00°, β = 90.00°, γ = 90.00°
Space group Ibam (No. 72)
Asymmetric unit:
Dy (0.0000, 0.0000, 0.2500) (multiplicity 4)
Dy (0.0000, 0.2677, 0.2500) (multiplicity 8)
Y (0.0000, 0.5000, 0.0000) (multiplicity 4)
Rh (0.2103, 0.1388, 0.0000) (multiplicity 8)